RbMnPO2: theoretical PXRD pattern (Cu Kα (λ = 1.5418 Å)), based on a crystal structure in Alexandria, relaxed with PBE+U.
Peak positions follow from Bragg's law for the DFT cell and can differ from measured ones.

Top 12 peaks for 2θ from 5° to 70°, by angle:
| Position (°2θ) | intensity | index |
| --- | --- | --- |
| 28.1 | 100 | 1 0 1 |
| 30.1 | 66 | 1 1 0 |
| 35.4 | 38 | 1 1 1 |
| 37.2 | 40 | 0 0 2 |
| 43.0 | 51 | 2 0 0 |
| 48.5 | 34 | 1 1 2 |
| 52.2 | 34 | 2 1 1 |
| 58.1 | 39 | 2 0 2 |
| 61.6 | 10 | 1 0 3 |
| 62.5 | 15 | 2 2 0 |
| 65.9 | 5 | 1 1 3 |
| 69.9 | 7 | 3 0 1 |

```
data_RbMnPO2
_space_group_name_H-M_alt 'P 1'
_space_group_IT_number 1
_space_group_name_Hall 'P 1'
_cell_length_a 4.2051
_cell_length_b 4.2051
_cell_length_c 4.8390
_cell_angle_alpha 90.00
_cell_angle_beta 90.00
_cell_angle_gamma 90.00
loop_
_atom_site_label
_atom_site_fract_x
_atom_site_fract_y
_atom_site_fract_z
Rb1 0.0000 0.0000 0.0000
Mn1 0.5000 0.5000 0.5000
P1 0.5000 0.5000 0.0000
O1 0.0000 0.5000 0.5000
O2 0.5000 0.0000 0.5000
```